Computed X-ray powder pattern
Compound: MgVFeP4O14
Radiation: Cu Kα
Structure: the GGA+U geometry in Alexandria

Structure:
a = 4.9665 Å, b = 6.9264 Å, c = 8.3730 Å
α = 89.67°, β = 88.37°, γ = 71.11°
Atoms (fractional coordinates):
Mg 0.0000 0.0000 0.0000
V 0.5795 0.4336 0.1391
Fe 0.0024 0.9679 0.6133
P 0.0332 0.6141 0.9120
P 0.1829 0.1807 0.3147
P 0.4192 0.2139 0.8137
P 0.5841 0.7842 0.4108
O 0.0642 0.1893 0.4841
O 0.2062 0.6676 0.0470
O 0.2081 0.0933 0.8246
O 0.2404 0.4523 0.7907
O 0.3250 0.3397 0.2806
O 0.3888 0.7890 0.5556
O 0.4142 0.9572 0.2823
O 0.5753 0.2019 0.9747
O 0.6226 0.1630 0.6719
O 0.6626 0.5892 0.3117
O 0.8011 0.5328 0.9712
O 0.8524 0.8322 0.4523
O 0.9234 0.8148 0.8170
O 0.9588 0.1848 0.1869

Peak list (12 most intense, 2θ = 10–90°, low angle first)
- 13.51°, rel. 18.3, (0 1 0)
- 17.18°, rel. 100.0, (0 1 -1)
- 21.90°, rel. 37.1, (1 1 1)
- 22.34°, rel. 42.7, (1 1 -1)
- 25.23°, rel. 24.6, (0 1 -2)
- 26.69°, rel. 27.8, (1 -1 0)
- 28.53°, rel. 59.0, (1 1 2)
- 28.99°, rel. 17.0, (-1 1 1)
- 29.26°, rel. 47.9, (1 1 -2)
- 34.85°, rel. 13.9, (0 2 2)
- 38.28°, rel. 14.0, (1 -2 0)
- 42.52°, rel. 13.7, (1 2 3)